Starting from a DFT-relaxed cell (GGA-PBE, the Materials Project), the X-ray diffraction stick pattern of BaTiO3 was simulated for Cu Ka.

Peak list (6 most intense, 15° ≤ 2θ ≤ 90°, sorted by position)
two_theta  d/Å  Rel. int.
21.8  4.081  37
30.9  2.894  100
31.1  2.877  97
38.3  2.352  37
44.4  2.040  67
55.2  1.664  38

Atomic structure:
Lattice parameters (Å, degrees): 4.0811 4.0811 4.0811 89.66 89.66 89.66
Positions (direct):
Ba (0.0000, 0.0000, 0.0000)
Ti (0.5144, 0.5144, 0.5144)
O (0.4826, 0.4825, 0.9717)
O (0.4826, 0.9717, 0.4826)
O (0.9717, 0.4826, 0.4826)

---

Starting from a DFT-relaxed cell (GGA-PBE, the Materials Project), the X-ray diffraction stick pattern of Ba3LiTi3O8 was simulated for Cu Ka.

Peak list (6 most intense, 15° ≤ 2θ ≤ 90°, sorted by position)
two_theta  d/Å  Rel. int.
22.1  4.020  51
29.9  2.990  100
30.1  2.966  97
31.6  2.829  75
37.7  2.387  51
45.1  2.010  71

Atomic structure:
Lattice parameters (Å, degrees): 5.9608 5.9608 7.2652 94.67 94.67 56.74
Positions (direct):
Ba (0.0000, 0.0000, 0.0000)
Ba (0.2958, 0.2958, 0.6894)
Ba (0.6001, 0.6001, 0.3972)
Li (0.7974, 0.7974, 0.1938)
Ti (0.3226, 0.3226, 0.1650)
Ti (0.6354, 0.6354, 0.8573)
Ti (0.9407, 0.9407, 0.5464)
O (0.1216, 0.6303, 0.3566)
O (0.2897, 0.7969, 0.6918)
O (0.4723, 0.4723, 0.0303)
O (0.4762, 0.9745, 0.0264)
O (0.6303, 0.1216, 0.3566)
O (0.7937, 0.7937, 0.6927)
O (0.7969, 0.2897, 0.6918)
O (0.9745, 0.4762, 0.0264)